Simulated powder X-ray diffraction pattern of Ti3TcC2 for Cu Kα X-rays, from the PBE geometry in Alexandria.
Lines closer than 0.1° are merged.

Unit cell a=4.2333 b=9.6475 c=7.2282 alpha=90.00 beta=90.00 gamma=90.00
Space group Cmcm (No. 63)
One atom of each set of equivalent atoms:
Ti (0.0000, 0.0959, 0.2500) [4 per cell]
Ti (0.0000, 0.3813, 0.0608) [8 per cell]
Tc (0.0000, 0.1989, 0.7500) [4 per cell]
C (0.0000, 0.0000, 0.0000) [4 per cell]
C (0.0000, 0.4103, 0.7500) [4 per cell]

Main lines, in order of rising 2θ (10° ≤ 2θ ≤ 90°):
| d (Å) | 2θ/deg | intensity | h k l |
| --- | --- | --- | --- |
| 3.416 | 26.08 | 39 | 1 1 1 |
| 2.892 | 30.92 | 28 | 0 2 2 |
| 2.643 | 33.91 | 79 | 1 1 2 |
| 2.414 | 37.26 | 100 | 1 3 1 |
| 2.288 | 39.38 | 43 | 0 4 1 |
| 2.117 | 42.72 | 67 | 2 0 0 |
| 2.089 | 43.30 | 79 | 1 3 2 |
| 2.046 | 44.26 | 63 | 1 1 3 |


Simulated powder X-ray diffraction pattern of Pm2DyPaN4 for Cu Kα X-rays, from the PBE geometry in Alexandria.
Lines closer than 0.1° are merged.

Unit cell a=6.0932 b=3.5556 c=6.1588 alpha=90.00 beta=109.12 gamma=90.00
Space group P2/m (No. 10)
One atom of each set of equivalent atoms:
Pm (0.0000, 0.0000, 0.0000) [1 per cell]
Pm (0.5000, 0.5000, 0.0000) [1 per cell]
Dy (0.0000, 0.5000, 0.5000) [1 per cell]
Pa (0.5000, 0.0000, 0.5000) [1 per cell]
N (0.2567, 0.0000, 0.7271) [2 per cell]
N (0.2668, 0.5000, 0.2760) [2 per cell]

Main lines, in order of rising 2θ (10° ≤ 2θ ≤ 90°):
| d (Å) | 2θ/deg | intensity | h k l |
| --- | --- | --- | --- |
| 2.910 | 30.73 | 51 | 0 0 2 |
| 2.896 | 30.88 | 100 | 1 1 -1 |
| 2.879 | 31.07 | 49 | 2 0 0 |
| 2.513 | 35.73 | 94 | 1 1 1 |
| 2.495 | 35.99 | 46 | 2 0 -2 |
| 1.777 | 51.41 | 65 | 0 2 0 |
| 1.764 | 51.84 | 32 | 3 1 -1 |
| 1.518 | 61.05 | 31 | 1 1 3 |